Diffraction record for Nd2FeBiO6. The XRD peak list is calculated, not measured: it uses a GGA+U-relaxed structure and Cu Ka.

The 10 most intense peaks (15° ≤ 2θ ≤ 90°), by angle:
Position (°2θ)  intensity
16.24  127
16.36  99
23.13  110
28.40  1000
32.83  342
33.06  112
47.11  190
47.28  266
55.92  306
56.23  106

Crystal structure
Unit cell a=5.457 b=5.457 c=5.419 alpha=90.00 beta=90.00 gamma=90.00
Space group P4mm (No. 99)
Symmetry-distinct sites (fractional):
1 Nd 0.000 0.500 0.000 x2
2 Fe 0.000 0.000 0.600 x1
3 Bi 0.500 0.500 0.563 x1
4 O 0.000 0.000 0.249 x1
5 O 0.237 0.237 0.751 x4
6 O 0.500 0.500 0.139 x1